GdB2Ru3: calculated XRD peak list (CuKα), based on a cell relaxed with GGA-PBE.
Neutral-atom scattering factors, no anomalous dispersion.

Atomic structure:
Cell: 5.5309 5.5309 3.0327 Å, 90.00 90.00 120.00°
Space group P6/mmm (No. 191)
Symmetry-distinct sites (fractional):
1 Gd 0.0000 0.0000 0.0000 [1 per cell]
2 B 0.3333 0.6667 0.0000 [2 per cell]
3 Ru 0.0000 0.5000 0.5000 [3 per cell]

Most intense lines, 2θ from 10° to 80°, low angle first:
| 2θ/deg | d [Å] | I/Imax | h k l |
| --- | --- | --- | --- |
| 35.02 | 2.562 | 72.7 | 1 0 1 |
| 37.55 | 2.395 | 100.0 | 2 0 0 |
| 44.33 | 2.043 | 44.6 | 1 1 1 |
| 48.43 | 1.880 | 11.7 | 2 0 1 |
| 59.46 | 1.554 | 31.5 | 2 1 1 |
| 61.12 | 1.516 | 8.6 | 0 0 2 |
| 66.14 | 1.413 | 13.2 | 3 0 1 |
| 67.77 | 1.383 | 18.9 | 2 2 0 |
| 73.99 | 1.281 | 26.8 | 2 0 2 |
| 78.62 | 1.217 | 13.9 | 3 1 1 |